(1)
Starting from a PBE-relaxed structure, the PXRD pattern of OsAu7 was calculated for Cu Kα (λ = 1.5418 Å).
Kinematic intensities with the Lorentz-polarization factor, no thermal factor.

Top 5 peaks for 2θ from 15° to 90°, by angle:
d (Å)  I (rel.)  hkl
2.383  100  2 2 2
2.064  49  4 0 0
1.459  33  4 4 0
1.244  40  6 2 2
1.192  12  4 4 4

abc: 8.2550 8.2550 8.2550
angles: 90.00 90.00 90.00
Space group Fm-3m (No. 225)
Asymmetric unit:
Os 0.0000 0.0000 0.0000 (multiplicity 4)
Au 0.0000 0.0000 0.5000 (multiplicity 4)
Au 0.0000 0.2500 0.2500 (multiplicity 24)

***

(2)
Starting from a PBE-relaxed structure, the PXRD pattern of GaSb2AsI was calculated for Cu Kα (λ = 1.5418 Å).
Kinematic intensities with the Lorentz-polarization factor, no thermal factor.

Top 8 peaks for 2θ from 15° to 90°, by angle:
d (Å)  I (rel.)  hkl
3.041  100  1 1 1
2.777  76  2 0 0
2.403  30  0 0 2
1.964  28  2 2 0
1.817  45  2 0 2
1.650  32  3 1 1
1.521  24  2 2 2
1.103  26  4 2 2

abc: 5.5541 5.5541 4.8064
angles: 90.00 90.00 90.00
Space group P4/mmm (No. 123)
Asymmetric unit:
Ga 0.0000 0.0000 0.0000 (multiplicity 1)
Sb 0.0000 0.5000 0.0000 (multiplicity 2)
As 0.0000 0.0000 0.5000 (multiplicity 1)
I 0.5000 0.5000 0.5000 (multiplicity 1)

***

(3)
Starting from a PBE-relaxed structure, the PXRD pattern of Tb3TeI7 was calculated for Cu Kα (λ = 1.5418 Å).
Kinematic intensities with the Lorentz-polarization factor, no thermal factor.

Top 8 peaks for 2θ from 15° to 90°, by angle:
d (Å)  I (rel.)  hkl
3.396  100  2 0 1
2.665  54  2 0 2
2.203  35  2 2 0
2.081  29  0 2 3
1.848  17  0 4 1
1.698  13  0 4 2
1.422  15  2 2 4
1.416  14  4 2 1

abc: 8.8133 8.8133 7.4479
angles: 90.00 90.00 120.00
Space group P3m1 (No. 156)
Asymmetric unit:
Tb 0.0122 0.5061 0.0000 (multiplicity 3)
Te 0.3333 0.6667 0.2348 (multiplicity 1)
I 0.1702 0.3404 0.7571 (multiplicity 3)
I 0.3409 0.1705 0.2235 (multiplicity 3)
I 0.6667 0.3333 0.7541 (multiplicity 1)

***

(4)
Starting from a PBE-relaxed structure, the PXRD pattern of Rb7H5F was calculated for Cu Kα (λ = 1.5418 Å).
Kinematic intensities with the Lorentz-polarization factor, no thermal factor.

Top 8 peaks for 2θ from 15° to 90°, by angle:
d (Å)  I (rel.)  hkl
3.678  46  0 2 0
3.615  43  1 1 3
3.497  100  0 1 7
3.418  52  1 1 4
2.968  38  1 2 3
2.856  26  1 2 4
2.599  17  1 2 6
1.760  28  2 2 7

abc: 4.0727 7.6317 27.8204
angles: 90.00 90.00 74.53
Space group P1 (No. 1)
Asymmetric unit:
Rb 0.0000 0.0000 0.0000 (multiplicity 1)
Rb 0.0000 0.0000 0.1463 (multiplicity 1)
Rb 0.0494 0.9010 0.7291 (multiplicity 1)
Rb 0.0495 0.9007 0.4172 (multiplicity 1)
Rb 0.2284 0.5429 0.9173 (multiplicity 1)
Rb 0.2286 0.5426 0.2289 (multiplicity 1)
Rb 0.2775 0.4445 0.6463 (multiplicity 1)
Rb 0.2775 0.4445 0.5001 (multiplicity 1)
Rb 0.4950 0.0101 0.5732 (multiplicity 1)
Rb 0.5005 0.9989 0.2878 (multiplicity 1)
Rb 0.5002 0.9993 0.8584 (multiplicity 1)
Rb 0.7778 0.4441 0.3583 (multiplicity 1)
Rb 0.7776 0.4445 0.7880 (multiplicity 1)
Rb 0.7830 0.4343 0.0732 (multiplicity 1)
H 0.1392 0.7215 0.3230 (multiplicity 1)
H 0.1389 0.7219 0.8232 (multiplicity 1)
H 0.4110 0.1778 0.3924 (multiplicity 1)
H 0.4108 0.1782 0.7537 (multiplicity 1)
H 0.5962 0.8076 0.1979 (multiplicity 1)
H 0.5959 0.8081 0.9483 (multiplicity 1)
H 0.6822 0.6353 0.4481 (multiplicity 1)
H 0.6819 0.6358 0.6981 (multiplicity 1)
H 0.8675 0.2649 0.2533 (multiplicity 1)
H 0.8671 0.2655 0.8927 (multiplicity 1)
F 0.4239 0.1538 0.0732 (multiplicity 1)
F 0.8540 0.2905 0.5732 (multiplicity 1)

***

(5)
Starting from a PBE-relaxed structure, the PXRD pattern of Rb3Tl5Au3 was calculated for Cu Kα (λ = 1.5418 Å).
Kinematic intensities with the Lorentz-polarization factor, no thermal factor.

Top 8 peaks for 2θ from 15° to 90°, by angle:
d (Å)  I (rel.)  hkl
3.349  100  0 0 2
2.954  64  2 1 0
2.703  90  2 1 1
2.605  86  3 0 0
2.428  56  3 0 1
2.215  58  2 1 2
2.056  88  3 0 2
1.781  27  2 1 3

abc: 9.0239 9.0239 6.6980
angles: 90.00 90.00 120.00
Space group P-62m (No. 189)
Asymmetric unit:
Rb 0.0000 0.6566 0.0000 (multiplicity 3)
Tl 0.0000 0.2541 0.5000 (multiplicity 3)
Tl 0.3333 0.6667 0.5000 (multiplicity 2)
Au 0.0000 0.6284 0.5000 (multiplicity 3)